# NaPuCoO4
Computed powder diffraction line list, copper Kα. Input: a cell relaxed with GGA+U.

Largest 10 diffraction maxima, by intensity, 10° ≤ 2θ ≤ 90°:
| d/Å | two_theta | I/Imax |
| --- | --- | --- |
| 5.139 | 17.26 | 100 |
| 2.897 | 30.87 | 58 |
| 2.424 | 37.09 | 33 |
| 2.477 | 36.27 | 21 |
| 2.570 | 34.92 | 20 |
| 1.835 | 49.68 | 20 |
| 2.636 | 34.01 | 20 |
| 1.542 | 59.99 | 20 |
| 3.998 | 22.24 | 17 |
| 2.023 | 44.80 | 17 |

Cell and atoms:
```
14
Lattice="-3.3542 3.5069 3.9976 3.3542 -3.5069 3.9976 3.3542 3.5069 -3.9976" Properties=species:S:1:pos:R:3 pbc="T T T"
Na 0.0000 1.7534 0.8908
Na 3.3542 1.7534 3.1068
Pu 3.3542 0.0000 0.0000
Pu 0.0000 0.0000 3.9976
Co 1.6771 1.7534 -1.9988
Co 1.6771 -1.7534 1.9988
O 3.3542 -0.3166 1.9944
O 3.3542 3.1903 -1.9944
O 1.9823 1.7534 -0.0515
O 4.7261 1.7534 -0.0515
O -1.3719 1.7534 4.0491
O 1.3719 1.7534 4.0491
O 0.0000 0.3166 5.9919
O 0.0000 3.8234 2.0032
```